Starting from the PBE geometry in Alexandria, the X-ray powder pattern of Cs4AgBr5 was simulated for Cu Kα (λ = 1.5418 Å).
Kinematic intensities with the Lorentz-polarization factor, no thermal factor.

Atomic structure:
a b c (Å): 11.0791 11.0791 7.3488
angles (deg): 90.00 90.00 90.00
Space group I4 (No. 79)
Inequivalent atoms, fractional coordinates:
Cs (0.0931, 0.7020, 0.0000)
Ag (0.0000, 0.0000, 0.5605)
Br (0.0000, 0.0000, 0.9349)
Br (0.0856, 0.7411, 0.4966)

The 8 most intense peaks (10 to 90 degrees two-theta), by angle:
- d 4.108, 21.63 deg, intensity 23
- d 3.674, 24.22 deg, intensity 55
- d 3.504, 25.42 deg, intensity 100
- d 2.536, 35.40 deg, intensity 76
- d 2.477, 36.26 deg, intensity 34
- d 2.054, 44.09 deg, intensity 34
- d 1.627, 56.56 deg, intensity 16
- d 1.441, 64.67 deg, intensity 15

Starting from the PBE geometry in Alexandria, the X-ray powder pattern of Mg2Ag5Au5 was simulated for Cu Kα (λ = 1.5418 Å).
Kinematic intensities with the Lorentz-polarization factor, no thermal factor.

Atomic structure:
a b c (Å): 12.4360 4.1791 9.2337
angles (deg): 90.00 116.31 90.00
Space group C2/m (No. 12)
Inequivalent atoms, fractional coordinates:
Mg (0.1573, 0.0000, 0.4985)
Ag (0.0000, 0.0000, 0.0000)
Ag (0.0845, 0.0000, 0.7551)
Ag (0.2484, 0.5000, 0.7506)
Au (0.0000, 0.5000, 0.5000)
Au (0.0950, 0.5000, 0.2671)
Au (0.1627, 0.5000, 0.9999)

The 8 most intense peaks (10 to 90 degrees two-theta), by angle:
- d 8.277, 10.69 deg, intensity 18
- d 3.913, 22.72 deg, intensity 21
- d 2.404, 37.42 deg, intensity 99
- d 2.393, 37.58 deg, intensity 100
- d 2.090, 43.30 deg, intensity 34
- d 2.071, 43.71 deg, intensity 63
- d 1.471, 63.22 deg, intensity 42
- d 1.257, 75.64 deg, intensity 13